For Dy2Ho9In, a cell relaxed with GGA-PBE gives the theoretical powder diffraction line list in this record (CuKα).
Intensities are scaled so that the largest is 100.

Principal peaks in the range 5° ≤ 2θ ≤ 70°, in order of falling intensity:
hkl 1 1 3, 31.4°, d = 2.853 Å, intensity 100
hkl 2 0 0, 36.6°, d = 2.458 Å, intensity 33
hkl 3 1 3, 62.6°, d = 1.484 Å, intensity 28
hkl 2 0 6, 52.2°, d = 1.752 Å, intensity 24
hkl 0 0 6, 36.0°, d = 2.497 Å, intensity 17
hkl 1 1 9, 61.8°, d = 1.501 Å, intensity 14
hkl 2 2 6, 65.4°, d = 1.426 Å, intensity 12
hkl 2 2 0, 52.7°, d = 1.738 Å, intensity 12

Cell and atoms:
Unit cell a=4.9155 b=4.9155 c=14.9833 alpha=90.00 beta=90.00 gamma=90.00
Space group P4/mmm (No. 123)
Symmetry-distinct sites (fractional):
Dy (0.0000, 0.0000, 0.1674) x2
Ho (0.0000, 0.5000, 0.0000) x2
Ho (0.0000, 0.5000, 0.3381) x4
Ho (0.5000, 0.5000, 0.1718) x2
Ho (0.5000, 0.5000, 0.5000) x1
In (0.0000, 0.0000, 0.5000) x1